1.
Theoretical powder X-ray diffraction pattern of PuAg3Au for Cu Kα, 1.54184 Å, from a DFT-relaxed cell (GGA-PBE, Alexandria).
Neutral-atom scattering factors, no anomalous dispersion.

Structure:
Cell lengths 7.2523, 7.2523, 16.1063 Å; angles 90.00, 90.00, 120.00 degrees
Space group R3c (No. 161, hexagonal axes)
Unique sites:
Pu 0.0000 0.0000 0.0000
Ag 0.1632 0.4141 0.3444
Au 0.0000 0.0000 0.3191

Largest 10 diffraction maxima, low angle first, 10° ≤ 2θ ≤ 90°:
| 2theta | I_rel | index |
| --- | --- | --- |
| 24.55 | 100 | 1 1 0 |
| 30.55 | 53 | 2 0 2 |
| 33.38 | 58 | 0 0 6 |
| 36.28 | 66 | 0 2 4 |
| 39.58 | 47 | 1 2 2 |
| 41.87 | 51 | 1 1 6 |
| 44.29 | 39 | 2 1 4 |
| 50.33 | 26 | 2 2 0 |
| 55.67 | 29 | 3 0 6 |
| 78.33 | 29 | 1 4 6 |

=====

2.
Theoretical powder X-ray diffraction pattern of TiZnAs2O7 for Cu Kα, 1.54184 Å, from a DFT-relaxed cell (GGA-PBE, Alexandria).
Neutral-atom scattering factors, no anomalous dispersion.

Structure:
Cell lengths 8.494, 8.585, 11.120 Å; angles 90.00, 126.00, 90.00 degrees
Space group P2_1/c (No. 14)
Unique sites:
Ti 0.133 0.016 0.286
Zn 0.353 0.133 0.878
As 0.002 0.207 0.536
As 0.419 0.723 0.262
O 0.026 0.614 0.395
O 0.050 0.079 0.686
O 0.265 0.647 0.081
O 0.271 0.163 0.409
O 0.280 0.633 0.767
O 0.381 0.215 0.721
O 0.469 0.586 0.394

Largest 10 diffraction maxima, low angle first, 10° ≤ 2θ ≤ 90°:
| 2theta | I_rel | index |
| --- | --- | --- |
| 14.85 | 29 | 1 1 -1 |
| 20.69 | 32 | 0 2 0 |
| 21.41 | 22 | 2 0 -2 |
| 23.82 | 100 | 2 1 -2 |
| 23.98 | 29 | 2 1 -1 |
| 26.26 | 91 | 1 2 -2 |
| 29.44 | 39 | 1 0 2 |
| 33.10 | 45 | 1 3 -1 |
| 35.50 | 38 | 1 1 -4 |
| 36.26 | 34 | 1 2 2 |

=====

3.
Theoretical powder X-ray diffraction pattern of LiCdBrCl2 for Cu Kα, 1.54184 Å, from a DFT-relaxed cell (GGA-PBE, Alexandria).
Neutral-atom scattering factors, no anomalous dispersion.

Structure:
Cell lengths 6.895, 4.100, 9.415 Å; angles 90.00, 91.50, 90.00 degrees
Space group P2_1/m (No. 11)
Unique sites:
Li 0.108 0.250 0.424
Cd 0.256 0.750 0.991
Br 0.417 0.250 0.830
Cl 0.091 0.250 0.144
Cl 0.218 0.750 0.502

Largest 10 diffraction maxima, low angle first, 10° ≤ 2θ ≤ 90°:
| 2theta | I_rel | index |
| --- | --- | --- |
| 18.86 | 28 | 0 0 2 |
| 26.90 | 42 | 1 1 -1 |
| 27.80 | 21 | 2 0 1 |
| 31.52 | 100 | 1 1 -2 |
| 32.60 | 46 | 2 0 2 |
| 38.16 | 22 | 1 1 -3 |
| 44.18 | 21 | 0 2 0 |
| 45.25 | 46 | 3 1 0 |
| 46.12 | 32 | 2 0 -4 |
| 46.71 | 33 | 1 1 4 |

=====

4.
Theoretical powder X-ray diffraction pattern of Ac2NiSnPd6 for Cu Kα, 1.54184 Å, from a DFT-relaxed cell (GGA-PBE, Alexandria).
Neutral-atom scattering factors, no anomalous dispersion.

Structure:
Cell lengths 12.457, 5.563, 8.768 Å; angles 90.00, 134.12, 90.00 degrees
Space group C2/m (No. 12)
Unique sites:
Ac 0.234 0.000 0.265
Ni 0.000 0.500 0.000
Sn 0.000 0.000 0.500
Pd 0.004 0.257 0.250
Pd 0.245 0.500 0.090

Largest 10 diffraction maxima, low angle first, 10° ≤ 2θ ≤ 90°:
| 2theta | I_rel | index |
| --- | --- | --- |
| 27.46 | 71 | 1 1 1 |
| 27.64 | 73 | 3 1 -1 |
| 27.84 | 62 | 3 1 -2 |
| 28.36 | 43 | 0 0 2 |
| 28.67 | 35 | 4 0 -2 |
| 38.10 | 91 | 2 2 0 |
| 38.33 | 100 | 2 2 -2 |
| 40.12 | 82 | 1 1 -3 |
| 40.35 | 75 | 4 0 0 |
| 40.45 | 48 | 5 1 -3 |

=====

5.
Theoretical powder X-ray diffraction pattern of Ho2PuUN4 for Cu Kα, 1.54184 Å, from a DFT-relaxed cell (GGA-PBE, Alexandria).
Neutral-atom scattering factors, no anomalous dispersion.

Structure:
Cell lengths 5.973, 3.456, 5.978 Å; angles 90.00, 109.32, 90.00 degrees
Space group P2/m (No. 10)
Unique sites:
Ho 0.000 0.000 0.000
Ho 0.500 0.500 0.000
Pu 0.000 0.500 0.500
U 0.500 0.000 0.500
N 0.259 0.000 0.740
N 0.262 0.500 0.259

Largest 10 diffraction maxima, low angle first, 10° ≤ 2θ ≤ 90°:
| 2theta | I_rel | index |
| --- | --- | --- |
| 31.74 | 100 | 2 0 0 |
| 36.78 | 45 | 1 1 1 |
| 36.88 | 22 | 2 0 -2 |
| 53.02 | 31 | 2 0 2 |
| 53.08 | 16 | 3 1 -1 |
| 63.10 | 30 | 3 1 1 |
| 63.24 | 15 | 4 0 -2 |
| 66.31 | 16 | 4 0 0 |
| 87.01 | 13 | 5 1 -1 |
| 89.75 | 15 | 1 3 1 |

=====

6.
Theoretical powder X-ray diffraction pattern of NiAsS for Cu Kα, 1.54184 Å, from a DFT-relaxed cell (GGA-PBE, Alexandria).
Neutral-atom scattering factors, no anomalous dispersion.

Structure:
Cell lengths 5.702, 5.702, 5.702 Å; angles 90.00, 90.00, 90.00 degrees
Space group P2_13 (No. 198)
Unique sites:
Ni 0.007 0.493 0.507
As 0.121 0.879 0.379
S 0.116 0.616 0.884

Largest 10 diffraction maxima, low angle first, 10° ≤ 2θ ≤ 90°:
| 2theta | I_rel | index |
| --- | --- | --- |
| 22.05 | 16 | 1 1 0 |
| 31.38 | 53 | 2 0 0 |
| 35.20 | 100 | 2 1 0 |
| 38.68 | 66 | 2 1 1 |
| 44.97 | 30 | 2 2 0 |
| 53.29 | 87 | 3 1 1 |
| 58.36 | 25 | 3 0 2 |
| 60.78 | 35 | 3 2 1 |
| 76.58 | 18 | 4 2 1 |
| 89.27 | 29 | 5 1 1 |